This entry pairs a crystal structure of Tm2AlVO6 with its theoretical powder X-ray diffraction pattern. Radiation: copper Kα. Structure: a DFT-relaxed cell (GGA+U, Alexandria).

Structure:
```
data_Tm2AlVO6
_cell_length_a 5.4809
_cell_length_b 5.4809
_cell_length_c 5.4809
_cell_angle_alpha 58.44
_cell_angle_beta 58.44
_cell_angle_gamma 58.44
_symmetry_space_group_name_H-M 'P 1'
_symmetry_Int_Tables_number 1
loop_
_symmetry_equiv_pos_as_xyz
'x,y,z'
loop_
_atom_site_label
_atom_site_fract_x
_atom_site_fract_y
_atom_site_fract_z
Tm1 0.0000 0.0000 0.0000
Tm2 0.4982 0.4982 0.4982
Al1 0.2763 0.2763 0.2763
V1 0.7758 0.7758 0.7758
O1 0.0592 0.6230 0.4217
O2 0.1371 0.5427 0.9384
O3 0.4217 0.0592 0.6230
O4 0.5427 0.9384 0.1371
O5 0.6230 0.4217 0.0592
O6 0.9384 0.1371 0.5427
```

The 10 most intense peaks (2θ from 10° to 80°), in order of rising 2θ:
| Position (°2θ) | Rel. int. |
| --- | --- |
| 23.24 | 98 |
| 32.70 | 100 |
| 33.49 | 88 |
| 41.16 | 35 |
| 47.51 | 46 |
| 52.99 | 34 |
| 54.07 | 23 |
| 57.84 | 18 |
| 59.37 | 40 |
| 59.87 | 25 |